Diffraction record for BaGaHg2. The X-ray powder pattern is theoretical, not measured: it uses a cell relaxed with GGA-PBE and Cu Kα (λ = 1.5418 Å).
Lines closer than 0.1° are merged.

Largest 6 diffraction maxima, in order of falling intensity, 2θ = 5–70°:
- 2θ 30.65, intensity 1000, (2 0 1)
- 2θ 36.04, intensity 939, (0 2 2)
- 2θ 52.99, intensity 481, (2 0 4)
- 2θ 32.94, intensity 383, (1 1 2)
- 2θ 14.21, intensity 333, (1 0 0)
- 2θ 27.01, intensity 332, (1 1 1)

Structure:
```
BaGaHg2
1.0
7.1955 0.0000 0.0000
-3.5977 6.2314 0.0000
0.0000 0.0000 8.3064
Ba Ga Hg
3 3 6
direct
0.0000 0.7167 0.1667
0.2833 0.2833 0.5000
0.7167 0.0000 0.8333
0.0000 0.7608 0.6667
0.2392 0.2392 0.0000
0.7608 0.0000 0.3333
0.1783 0.5452 0.8348
0.3670 0.8217 0.5014
0.4548 0.6330 0.1681
0.5452 0.1783 0.1652
0.6330 0.4548 0.8319
0.8217 0.3670 0.4986
```